Computed PXRD pattern
Compound: Co3RhSe8
Radiation: λ = 1.5418 Å (Cu Kα)
Structure: a DFT-relaxed cell (GGA-PBE, Alexandria)
Neutral-atom scattering factors, no anomalous dispersion.

Crystal structure
Cell lengths 6.279, 6.279, 8.008 Å; angles 121.99, 121.99, 68.61 degrees
Fractional positions:
Co  0.000  0.000  0.000
Co  0.000  0.500  0.500
Co  0.500  0.000  0.500
Rh  0.500  0.500  0.000
Se  0.031  0.550  0.828
Se  0.049  0.049  0.335
Se  0.449  0.449  0.652
Se  0.450  0.969  0.172
Se  0.550  0.031  0.828
Se  0.551  0.551  0.348
Se  0.951  0.951  0.665
Se  0.969  0.450  0.172

Main lines, in order of rising 2θ (5° ≤ 2θ ≤ 70°):
| two_theta | intensity |
| --- | --- |
| 17.1 | 405 |
| 33.9 | 1000 |
| 34.0 | 606 |
| 45.7 | 261 |
| 45.9 | 325 |
| 51.6 | 544 |